1.
This entry pairs a crystal structure of LiIn3Te4 with its simulated powder diffraction line list. Radiation: a wavelength of 1.5418 Å. Structure: a PBE-relaxed structure.
No peak broadening, texture or thermal motion is included.

Cell lengths 6.5604, 6.5604, 14.4437 Å; angles 90.00, 90.00, 90.00 degrees
Space group I-42m (No. 121)
One atom of each set of equivalent atoms:
Li 0.0000 0.0000 0.0000 [2 per cell]
In 0.0000 0.0000 0.5000 [2 per cell]
In 0.0000 0.5000 0.2500 [4 per cell]
Te 0.2310 0.2310 0.8688 [8 per cell]

The 10 most intense peaks (10 to 90 degrees two-theta), in order of rising 2θ:
2θ/deg, intensity, hkl
22.78, 1000, 1 1 2
31.11, 75, 2 1 1
37.03, 537, 2 0 4
38.83, 231, 2 2 0
42.30, 188, 1 1 6
45.49, 292, 3 1 2
56.07, 72, 4 0 0
58.75, 128, 3 1 6
65.52, 91, 2 2 8
69.12, 146, 4 2 4

2.
This entry pairs a crystal structure of LiTl2In2Te4 with its simulated powder diffraction line list. Radiation: a wavelength of 1.5418 Å. Structure: a PBE-relaxed structure.
No peak broadening, texture or thermal motion is included.

Cell lengths 16.0362, 4.5583, 8.1477 Å; angles 90.00, 102.48, 90.00 degrees
Space group C2/m (No. 12)
One atom of each set of equivalent atoms:
Li 0.0000 0.0000 0.0000 [2 per cell]
Tl 0.1188 0.0000 0.5382 [4 per cell]
In 0.1441 0.5000 0.0312 [4 per cell]
Te 0.0019 0.5000 0.2513 [4 per cell]
Te 0.2317 0.0000 0.2174 [4 per cell]

The 10 most intense peaks (10 to 90 degrees two-theta), in order of rising 2θ:
2θ/deg, intensity, hkl
23.79, 860, 1 1 1
25.95, 295, 3 1 0
28.32, 1000, 4 0 -2
29.42, 423, 1 1 -2
29.77, 955, 3 1 1
34.57, 509, 5 1 -1
35.48, 438, 4 0 2
38.62, 572, 1 1 -3
39.54, 482, 0 2 0
49.35, 431, 4 2 -2

3.
This entry pairs a crystal structure of LiTiIn with its simulated powder diffraction line list. Radiation: a wavelength of 1.5418 Å. Structure: a PBE-relaxed structure.
No peak broadening, texture or thermal motion is included.

Cell lengths 3.0738, 3.0738, 11.7120 Å; angles 90.00, 90.00, 90.00 degrees
Space group P4/nmm (No. 129, origin choice 2)
One atom of each set of equivalent atoms:
Li 0.2500 0.2500 0.0788 [2 per cell]
Ti 0.2500 0.2500 0.4203 [2 per cell]
In 0.2500 0.2500 0.7648 [2 per cell]

The 10 most intense peaks (10 to 90 degrees two-theta), in order of rising 2θ:
2θ/deg, intensity, hkl
15.13, 611, 0 0 2
30.06, 545, 1 0 1
30.53, 119, 0 0 4
32.91, 171, 1 0 2
37.23, 1000, 1 0 3
41.55, 384, 1 1 0
44.46, 168, 1 1 2
60.21, 121, 2 0 0
64.12, 158, 1 1 6
72.96, 253, 2 1 3

4.
This entry pairs a crystal structure of Li4TlIn7 with its simulated powder diffraction line list. Radiation: a wavelength of 1.5418 Å. Structure: a PBE-relaxed structure.
No peak broadening, texture or thermal motion is included.

Cell lengths 6.2038, 7.1488, 7.2657 Å; angles 73.56, 78.62, 64.67 degrees
Space group P-1 (No. 2)
One atom of each set of equivalent atoms:
Li 0.1002 0.1758 0.3192 [2 per cell]
Li 0.3275 0.6671 0.3208 [2 per cell]
Tl 0.5000 0.0000 0.0000 [1 per cell]
In 0.0000 0.0000 0.0000 [1 per cell]
In 0.1758 0.3465 0.6518 [2 per cell]
In 0.2476 0.5022 0.0071 [2 per cell]
In 0.3844 0.8335 0.6408 [2 per cell]

The 10 most intense peaks (10 to 90 degrees two-theta), in order of rising 2θ:
2θ/deg, intensity, hkl
12.75, 312, 0 0 1
16.53, 179, 1 1 0
25.71, 316, 0 0 2
33.84, 1000, 0 2 -1
34.57, 467, 2 1 -1
35.08, 412, 2 1 2
38.92, 322, 0 0 3
40.17, 306, 2 -1 0
40.45, 285, 2 3 1
57.00, 213, 0 4 1